Computed powder diffractogram of Al2Cu3Au4 for CuKα, from DFT lattice parameters and positions (GGA-PBE).
Kinematic intensities with the Lorentz-polarization factor, no thermal factor.

The 10 most intense peaks (15° ≤ 2θ ≤ 90°), by angle:
2theta, d_spacing, intensity, index
26.8, 3.326, 49, 1 0 1
27.0, 3.300, 49, 1 1 -1
29.4, 3.035, 51, 0 1 2
39.7, 2.271, 100, 1 1 3
39.9, 2.259, 99, 1 0 -3
40.3, 2.239, 96, 1 -1 0
40.5, 2.229, 94, 1 2 0
42.2, 2.143, 88, 0 1 -3
43.2, 2.096, 81, 2 1 0
71.4, 1.321, 50, -2 1 3

Structural model:
Cell lengths 4.1923, 4.4975, 8.2919 Å; angles 83.94, 89.60, 62.45 degrees
Space group P-1 (No. 2)
One atom of each set of equivalent atoms:
Al 0.1720 0.1548 0.2230 [2 per cell]
Cu 0.1618 0.1754 0.5390 [2 per cell]
Cu 0.5000 0.5000 0.0000 [1 per cell]
Au 0.1649 0.1705 0.8839 [2 per cell]
Au 0.4885 0.5250 0.6684 [2 per cell]